[1]
This entry pairs a crystal structure of ZrTiO4 with its calculated XRD peak list. Radiation: Cu Kα. Structure: a DFT-relaxed cell (GGA-PBE, the Materials Project).
No peak broadening, texture or thermal motion is included.

Crystal structure
Cell lengths 4.784, 5.150, 5.720 Å; angles 90.00, 90.00, 90.00 degrees
Element x y z (fractional)
Zr 0.000 0.000 0.077
Zr 0.500 0.500 0.923
Ti 0.000 0.500 0.431
Ti 0.500 0.000 0.569
O 0.216 0.659 0.148
O 0.238 0.177 0.377
O 0.262 0.677 0.623
O 0.284 0.159 0.852
O 0.716 0.841 0.852
O 0.738 0.323 0.623
O 0.762 0.823 0.377
O 0.784 0.341 0.148

Largest 8 diffraction maxima, by angle, 10° ≤ 2θ ≤ 80°:
- 24.25 deg, d 3.670, I 29
- 29.90 deg, d 2.989, I 100
- 35.92 deg, d 2.500, I 13
- 51.60 deg, d 1.771, I 14
- 52.19 deg, d 1.753, I 19
- 52.98 deg, d 1.728, I 24
- 59.44 deg, d 1.555, I 15
- 63.16 deg, d 1.472, I 22



[2]
This entry pairs a crystal structure of LaCe3 with its calculated XRD peak list. Radiation: Cu Kα. Structure: a DFT-relaxed cell (GGA-PBE, the Materials Project).
No peak broadening, texture or thermal motion is included.

Crystal structure
Cell lengths 4.792, 4.792, 9.686 Å; angles 90.00, 90.00, 90.00 degrees
Element x y z (fractional)
La 0.000 0.000 0.000
La 0.500 0.500 0.500
Ce 0.000 0.000 0.500
Ce 0.000 0.500 0.250
Ce 0.000 0.500 0.750
Ce 0.500 0.000 0.250
Ce 0.500 0.000 0.750
Ce 0.500 0.500 0.000

Largest 8 diffraction maxima, by angle, 10° ≤ 2θ ≤ 80°:
- 32.24 deg, d 2.776, I 100
- 37.13 deg, d 2.421, I 17
- 37.54 deg, d 2.396, I 33
- 53.83 deg, d 1.703, I 23
- 54.13 deg, d 1.694, I 11
- 63.87 deg, d 1.457, I 14
- 64.43 deg, d 1.446, I 27
- 67.47 deg, d 1.388, I 12



[3]
This entry pairs a crystal structure of Tl2BiSbTe4 with its calculated XRD peak list. Radiation: Cu Kα. Structure: a DFT-relaxed cell (GGA-PBE, the Materials Project).
No peak broadening, texture or thermal motion is included.

Crystal structure
Cell lengths 7.872, 4.543, 8.437 Å; angles 90.00, 108.28, 90.00 degrees
Element x y z (fractional)
Tl 0.000 0.000 0.000
Tl 0.500 0.500 0.000
Bi 0.000 0.500 0.500
Sb 0.500 0.000 0.500
Te 0.245 0.000 0.719
Te 0.266 0.500 0.284
Te 0.734 0.500 0.716
Te 0.755 0.000 0.281

Largest 8 diffraction maxima, by angle, 10° ≤ 2θ ≤ 80°:
- 27.09 deg, d 3.292, I 100
- 37.67 deg, d 2.388, I 38
- 39.67 deg, d 2.272, I 38
- 48.70 deg, d 1.870, I 20
- 55.90 deg, d 1.645, I 8
- 61.70 deg, d 1.503, I 10
- 64.58 deg, d 1.443, I 12
- 70.71 deg, d 1.332, I 8



[4]
This entry pairs a crystal structure of Na3Nd5Cl15 with its calculated XRD peak list. Radiation: Cu Kα. Structure: a DFT-relaxed cell (GGA-PBE, the Materials Project).
No peak broadening, texture or thermal motion is included.

Crystal structure
Cell lengths 8.898, 8.911, 14.201 Å; angles 96.25, 96.12, 102.17 degrees
Element x y z (fractional)
Na 0.085 0.086 0.414
Na 0.251 0.249 0.251
Na 0.414 0.415 0.086
Na 0.586 0.585 0.914
Na 0.749 0.751 0.749
Na 0.915 0.914 0.586
Nd 0.083 0.417 0.749
Nd 0.114 0.783 0.053
Nd 0.281 0.615 0.553
Nd 0.315 0.983 0.851
Nd 0.482 0.817 0.353
Nd 0.518 0.183 0.647
Nd 0.685 0.017 0.149
Nd 0.719 0.385 0.447
Nd 0.886 0.217 0.947
Nd 0.917 0.583 0.251
Cl 0.011 0.085 0.783
Cl 0.029 0.399 0.394
Cl 0.045 0.737 0.845
Cl 0.162 0.462 0.957
Cl 0.171 0.787 0.407
Cl 0.187 0.108 0.016
Cl 0.215 0.292 0.588
Cl 0.226 0.600 0.194
Cl 0.246 0.936 0.643
Cl 0.372 0.661 0.760
Cl 0.375 0.986 0.205
Cl 0.385 0.299 0.814
Cl 0.417 0.501 0.389
Cl 0.421 0.808 0.994
Cl 0.431 0.137 0.440
Cl 0.569 0.863 0.560
Cl 0.579 0.192 0.006
Cl 0.583 0.499 0.611
Cl 0.615 0.701 0.186
Cl 0.625 0.014 0.795
Cl 0.628 0.339 0.240
Cl 0.754 0.064 0.357
Cl 0.774 0.400 0.806
Cl 0.785 0.708 0.412
Cl 0.813 0.892 0.984
Cl 0.829 0.213 0.593
Cl 0.838 0.538 0.043
Cl 0.955 0.263 0.155
Cl 0.971 0.601 0.606
Cl 0.989 0.915 0.217

Largest 8 diffraction maxima, by angle, 10° ≤ 2θ ≤ 80°:
- 12.77 deg, d 6.935, I 77
- 22.20 deg, d 4.004, I 69
- 26.19 deg, d 3.403, I 68
- 32.01 deg, d 2.796, I 26
- 34.59 deg, d 2.593, I 100
- 38.96 deg, d 2.312, I 56
- 41.48 deg, d 2.177, I 68
- 63.06 deg, d 1.474, I 24